[1]
Starting from a PBE-relaxed structure, the X-ray diffraction stick pattern of Mg6TiZnO8 was simulated for λ = 1.5418 Å (Cu Kα).

Cell and atoms:
```
Mg6TiZnO8
1.0
4.290 0.000 0.000
0.000 4.290 0.000
0.000 0.000 8.673
Mg Ti Zn O
6 1 1 8
direct
0.000 0.000 0.000
0.000 0.500 0.247
0.000 0.500 0.753
0.500 0.000 0.247
0.500 0.000 0.753
0.500 0.500 0.000
0.000 0.000 0.500
0.500 0.500 0.500
0.000 0.000 0.245
0.000 0.000 0.755
0.000 0.500 0.000
0.000 0.500 0.500
0.500 0.000 0.000
0.500 0.000 0.500
0.500 0.500 0.244
0.500 0.500 0.756
```

Largest 12 diffraction maxima, low angle first, 10 to 90 degrees two-theta:
| 2theta | d (Å) | I (rel.) |
| --- | --- | --- |
| 10.20 | 8.673 | 38 |
| 20.48 | 4.336 | 10 |
| 29.44 | 3.034 | 8 |
| 31.24 | 2.864 | 13 |
| 36.13 | 2.486 | 39 |
| 41.66 | 2.168 | 52 |
| 42.12 | 2.145 | 100 |
| 60.74 | 1.525 | 58 |
| 61.09 | 1.517 | 28 |
| 72.43 | 1.305 | 7 |
| 73.08 | 1.295 | 13 |
| 76.67 | 1.243 | 26 |


[2]
Starting from a PBE-relaxed structure, the X-ray diffraction stick pattern of K2P3H7O9 was simulated for λ = 1.5418 Å (Cu Kα).

Cell and atoms:
```
K2P3H7O9
1.0
7.653 0.000 0.000
0.231 8.754 0.000
3.582 1.636 8.279
K P H O
4 6 14 18
direct
0.091 0.076 0.150
0.184 0.596 0.097
0.816 0.404 0.903
0.909 0.924 0.850
0.031 0.720 0.518
0.355 0.365 0.758
0.440 0.897 0.776
0.560 0.103 0.224
0.645 0.635 0.242
0.969 0.280 0.482
0.158 0.599 0.503
0.198 0.259 0.635
0.247 0.916 0.427
0.353 0.292 0.252
0.427 0.912 0.625
0.429 0.514 0.669
0.453 0.823 0.211
0.547 0.177 0.789
0.571 0.486 0.331
0.573 0.088 0.375
0.647 0.708 0.748
0.753 0.084 0.573
0.802 0.741 0.365
0.842 0.401 0.497
0.006 0.243 0.637
0.137 0.325 0.322
0.145 0.863 0.533
0.177 0.375 0.904
0.246 0.907 0.906
0.333 0.269 0.637
0.402 0.985 0.245
0.474 0.707 0.201
0.494 0.275 0.189
0.506 0.725 0.811
0.526 0.293 0.799
0.598 0.015 0.755
0.667 0.731 0.363
0.754 0.093 0.094
0.823 0.625 0.096
0.855 0.137 0.467
0.863 0.675 0.678
0.994 0.757 0.363
```

Largest 12 diffraction maxima, low angle first, 10 to 90 degrees two-theta:
| 2theta | d (Å) | I (rel.) |
| --- | --- | --- |
| 20.17 | 4.403 | 34 |
| 21.02 | 4.227 | 22 |
| 21.44 | 4.144 | 21 |
| 23.27 | 3.823 | 60 |
| 25.15 | 3.541 | 100 |
| 25.82 | 3.451 | 24 |
| 26.36 | 3.381 | 29 |
| 26.46 | 3.368 | 44 |
| 26.88 | 3.317 | 45 |
| 29.02 | 3.077 | 49 |
| 35.26 | 2.545 | 24 |
| 35.85 | 2.505 | 21 |


[3]
Starting from a PBE-relaxed structure, the X-ray diffraction stick pattern of K3B12H12I was simulated for λ = 1.5418 Å (Cu Kα).

Cell and atoms:
```
K3B12H12I
1.0
5.161 2.980 3.797
-5.161 2.980 3.797
0.000 -5.959 3.797
K B H I
3 12 12 1
direct
0.000 0.500 0.500
0.500 0.000 0.500
0.500 0.500 0.000
0.061 0.061 0.233
0.061 0.233 0.061
0.121 0.121 0.842
0.121 0.842 0.121
0.158 0.879 0.879
0.233 0.061 0.061
0.767 0.939 0.939
0.842 0.121 0.121
0.879 0.158 0.879
0.879 0.879 0.158
0.939 0.767 0.939
0.939 0.939 0.767
0.104 0.104 0.398
0.104 0.398 0.104
0.208 0.208 0.730
0.208 0.730 0.208
0.270 0.792 0.792
0.398 0.104 0.104
0.602 0.896 0.896
0.730 0.208 0.208
0.792 0.270 0.792
0.792 0.792 0.270
0.896 0.602 0.896
0.896 0.896 0.602
0.500 0.500 0.500
```

Largest 12 diffraction maxima, low angle first, 10 to 90 degrees two-theta:
| 2theta | d (Å) | I (rel.) |
| --- | --- | --- |
| 12.59 | 7.032 | 48 |
| 17.18 | 5.161 | 75 |
| 18.47 | 4.804 | 54 |
| 25.33 | 3.516 | 100 |
| 27.54 | 3.239 | 74 |
| 29.20 | 3.059 | 74 |
| 34.77 | 2.580 | 40 |
| 37.11 | 2.422 | 46 |
| 37.44 | 2.402 | 33 |
| 38.40 | 2.344 | 37 |
| 52.76 | 1.735 | 22 |
| 56.85 | 1.620 | 23 |


[4]
Starting from a PBE-relaxed structure, the X-ray diffraction stick pattern of ScBC was simulated for λ = 1.5418 Å (Cu Kα).

Cell and atoms:
```
ScBC
1.0
2.919 0.000 0.000
-1.459 2.528 0.000
0.000 0.000 7.321
Sc B C
2 2 2
direct
0.000 0.000 0.000
0.000 0.000 0.500
0.333 0.667 0.250
0.667 0.333 0.750
0.333 0.667 0.750
0.667 0.333 0.250
```

Largest 12 diffraction maxima, low angle first, 10 to 90 degrees two-theta:
| 2theta | d (Å) | I (rel.) |
| --- | --- | --- |
| 24.32 | 3.660 | 17 |
| 35.51 | 2.528 | 41 |
| 43.51 | 2.080 | 100 |
| 49.82 | 1.830 | 14 |
| 62.67 | 1.482 | 14 |
| 63.78 | 1.459 | 18 |
| 69.32 | 1.356 | 6 |
| 75.18 | 1.264 | 4 |
| 78.37 | 1.220 | 1 |
| 80.38 | 1.195 | 13 |
| 85.01 | 1.141 | 15 |
| 89.11 | 1.099 | 10 |